Structure and theoretical PXRD pattern of Cr2B2Mo (the GGA-PBE geometry in Alexandria; λ = 1.5418 Å (Cu Kα)).

Main lines, low angle first (2θ = 10–90°):
2theta, Rel. int.
21.6, 51
34.5, 39
37.7, 82
43.9, 100
44.0, 33
46.7, 51
49.5, 66
63.5, 15
72.5, 14
72.7, 12
76.7, 28
84.6, 27

Cell and atoms:
a = 5.8195 Å, b = 5.8195 Å, c = 2.9293 Å
α = 90.00°, β = 90.00°, γ = 90.00°
Space group P4/mbm (No. 127)
Inequivalent atoms, fractional coordinates:
Cr  0.1699  0.3301  0.0000 x4
B  0.1122  0.6122  0.5000 x4
Mo  0.0000  0.0000  0.5000 x2

Structure and theoretical PXRD pattern of LiMnH4 (the GGA-PBE geometry in Alexandria; λ = 1.5418 Å (Cu Kα)).

Main lines, low angle first (2θ = 10–90°):
2theta, Rel. int.
23.7, 100
37.5, 79
40.4, 21
42.2, 24
46.3, 9
48.9, 23
59.8, 12
61.2, 9
64.4, 16
74.0, 18
79.8, 7
80.0, 7

Cell and atoms:
a = 4.2853 Å, b = 4.2853 Å, c = 7.8513 Å
α = 90.00°, β = 90.00°, γ = 90.00°
Space group I4_1/amd (No. 141, origin choice 2)
Inequivalent atoms, fractional coordinates:
Li  0.0000  0.2500  0.3750 x4
Mn  0.0000  0.2500  0.8750 x4
H  0.2155  0.0000  0.0000 x16

Structure and theoretical PXRD pattern of Nd3Te (the GGA-PBE geometry in Alexandria; λ = 1.5418 Å (Cu Kα)).

Main lines, low angle first (2θ = 10–90°):
2theta, Rel. int.
31.5, 100
36.5, 50
52.6, 35
62.6, 42
65.7, 12
77.6, 6
86.1, 17
88.9, 16

Cell and atoms:
a = 4.9225 Å, b = 4.9225 Å, c = 4.9225 Å
α = 90.00°, β = 90.00°, γ = 90.00°
Space group Pm-3m (No. 221)
Inequivalent atoms, fractional coordinates:
Nd  0.0000  0.0000  0.5000 x3
Te  0.5000  0.5000  0.5000 x1

Structure and theoretical PXRD pattern of Cs2Rb2USe6 (the GGA-PBE geometry in Alexandria; λ = 1.5418 Å (Cu Kα)).

Main lines, low angle first (2θ = 10–90°):
2theta, Rel. int.
10.9, 34
12.6, 74
16.8, 41
25.0, 55
26.4, 100
30.6, 14
33.2, 13
36.3, 17
36.5, 29
36.8, 30
39.0, 13
46.6, 12

Cell and atoms:
a = 8.7251 Å, b = 13.8611 Å, c = 8.6481 Å
α = 90.00°, β = 110.47°, γ = 90.00°
Space group C2/m (No. 12)
Inequivalent atoms, fractional coordinates:
Cs  0.0000  0.1854  0.0000 x4
Rb  0.0000  0.3446  0.5000 x4
U  0.0000  0.0000  0.5000 x2
Se  0.1800  0.0000  0.3037 x4
Se  0.1976  0.1346  0.6943 x8

Q: Number 3 is which compound?
A: Nd3Te